This entry pairs a crystal structure of NaSr8Ca4 with its simulated XRD peak list. Radiation: CuKα. Structure: a cell relaxed with PBE.
Neutral-atom scattering factors, no anomalous dispersion.

Atomic structure:
```
NaSr8Ca4
1.0
6.3751 -2.9582 0.0000
6.3751 2.9582 0.0000
-0.6307 0.0000 17.0447
Na Sr Ca
1 8 4
direct
0.0000 0.0000 0.0000
0.0733 0.0733 0.7730
0.2359 0.2359 0.3101
0.3094 0.3094 0.0740
0.4568 0.4568 0.6132
0.5432 0.5432 0.3868
0.6906 0.6906 0.9260
0.7641 0.7641 0.6899
0.9267 0.9267 0.2270
0.1525 0.1525 0.5370
0.3823 0.3823 0.8436
0.6177 0.6177 0.1564
0.8475 0.8475 0.4630
```

The 10 most intense peaks (2θ from 10° to 80°), most intense first:
d (Å)	2θ/deg	Rel. int.
3.362	26.51	100
2.959	30.20	36
1.777	51.43	30
2.043	44.34	24
2.823	31.69	16
1.717	53.37	13
2.093	43.24	13
1.681	54.59	13
1.327	71.02	11
1.354	69.39	6

This entry pairs a crystal structure of PmSm8Ho3 with its simulated XRD peak list. Radiation: CuKα. Structure: a cell relaxed with PBE.
Neutral-atom scattering factors, no anomalous dispersion.

Atomic structure:
```
PmSm8Ho3
1.0
-4.3621 4.3621 5.7478
4.3621 -4.3621 5.7478
4.3621 4.3621 -5.7478
Pm Sm Ho
1 8 3
direct
0.0000 0.0000 0.0000
0.1274 0.1274 0.7502
0.2460 0.7402 0.0000
0.2598 0.2598 0.5058
0.3772 0.3772 0.2498
0.6228 0.8726 0.0000
0.7402 0.2460 0.0000
0.7540 0.7540 0.4942
0.8726 0.6228 0.0000
0.2500 0.7500 0.5000
0.5000 0.5000 0.0000
0.7500 0.2500 0.5000
```

The 10 most intense peaks (2θ from 10° to 80°), most intense first:
d (Å)	2θ/deg	Rel. int.
2.487	36.11	100
3.084	28.95	78
2.874	31.12	71
3.695	24.09	58
2.103	43.02	53
3.475	25.64	52
2.039	44.43	44
1.359	69.12	31
1.640	56.08	28
2.734	32.76	27

This entry pairs a crystal structure of Ho5Co4Si14 with its simulated XRD peak list. Radiation: CuKα. Structure: a cell relaxed with PBE.
Neutral-atom scattering factors, no anomalous dispersion.

Atomic structure:
```
Ho5Co4Si14
1.0
12.3735 0.0000 0.0000
0.0000 7.8194 0.0000
-1.1822 0.0000 7.6477
Ho Co Si
10 8 28
direct
0.0000 0.0000 0.0000
0.0000 0.5000 0.5000
0.3638 0.2481 0.3421
0.3638 0.2519 0.8421
0.3641 0.7490 0.3393
0.3641 0.7510 0.8393
0.6359 0.2490 0.1607
0.6359 0.2510 0.6607
0.6362 0.7481 0.1579
0.6362 0.7519 0.6579
0.9997 0.1269 0.6275
0.9997 0.3731 0.1275
0.0003 0.6269 0.8725
0.0003 0.8731 0.3725
0.2483 0.9999 0.0604
0.2483 0.5001 0.5604
0.7517 0.0001 0.9396
0.7517 0.4999 0.4396
0.0001 0.1658 0.3343
0.0001 0.3342 0.8343
0.9999 0.6658 0.1657
0.9999 0.8342 0.6657
0.1764 0.2259 0.5498
0.1764 0.2741 0.0498
0.1764 0.7260 0.0375
0.1764 0.7740 0.5375
0.1766 0.0056 0.7681
0.1766 0.4944 0.2681
0.1769 0.5059 0.8181
0.1769 0.9941 0.3181
0.4393 0.0003 0.1088
0.4393 0.4997 0.6088
0.4420 0.0004 0.6125
0.4420 0.4996 0.1125
0.5580 0.9996 0.3875
0.5580 0.5004 0.8875
0.5607 0.9997 0.8912
0.5607 0.5003 0.3912
0.8231 0.0059 0.6819
0.8231 0.4941 0.1819
0.8234 0.5056 0.7319
0.8234 0.9944 0.2319
0.8236 0.2260 0.4625
0.8236 0.2740 0.9625
0.8236 0.7259 0.9502
0.8236 0.7741 0.4502
```

The 10 most intense peaks (2θ from 10° to 80°), most intense first:
d (Å)	2θ/deg	Rel. int.
2.397	37.52	100
3.496	25.48	56
2.606	34.42	47
2.408	37.34	45
4.076	21.80	41
3.724	23.89	36
2.445	36.76	36
1.375	68.22	23
2.733	32.77	22
2.822	31.71	20

This entry pairs a crystal structure of Ba2Ac4Sb3O2 with its simulated XRD peak list. Radiation: CuKα. Structure: a cell relaxed with PBE.
Neutral-atom scattering factors, no anomalous dispersion.

Atomic structure:
```
Ba2Ac4Sb3O2
1.0
-2.5764 2.5764 13.8314
2.5764 -2.5764 13.8314
2.5764 2.5764 -13.8314
Ba Ac Sb O
2 4 3 2
direct
0.1972 0.1972 0.0000
0.8028 0.8028 0.0000
0.0802 0.5802 0.5000
0.4198 0.9198 0.5000
0.5802 0.0802 0.5000
0.9198 0.4198 0.5000
0.3304 0.3304 0.0000
0.5000 0.5000 0.0000
0.6696 0.6696 0.0000
0.0965 0.0965 0.0000
0.9035 0.9035 0.0000
```

The 10 most intense peaks (2θ from 10° to 80°), most intense first:
d (Å)	2θ/deg	Rel. int.
2.859	31.29	100
2.576	34.82	52
3.523	25.28	45
1.536	60.24	33
1.822	50.07	19
3.458	25.76	16
2.066	43.82	15
3.224	27.67	15
1.718	53.33	15
3.136	28.46	13

This entry pairs a crystal structure of PmSb2 with its simulated XRD peak list. Radiation: CuKα. Structure: a cell relaxed with PBE.
Neutral-atom scattering factors, no anomalous dispersion.

Atomic structure:
```
PmSb2
1.0
3.1506 -3.0723 0.0000
3.1506 3.0723 0.0000
0.0000 0.0000 18.1439
Pm Sb
4 8
direct
0.1399 0.8601 0.8892
0.3601 0.6399 0.3892
0.6399 0.3601 0.6108
0.8601 0.1399 0.1108
0.1252 0.3748 0.7500
0.1365 0.8635 0.5641
0.3635 0.6365 0.0641
0.3748 0.1252 0.2500
0.6252 0.8748 0.7500
0.6365 0.3635 0.9359
0.8635 0.1365 0.4359
0.8748 0.6252 0.2500
```

The 10 most intense peaks (2θ from 10° to 80°), most intense first:
d (Å)	2θ/deg	Rel. int.
2.739	32.69	100
2.184	41.35	56
2.976	30.02	52
2.588	34.67	46
3.024	29.54	42
1.365	68.75	32
2.492	36.04	30
1.677	54.73	25
3.153	28.30	18
3.558	25.03	17

This entry pairs a crystal structure of La4B2Cl5 with its simulated XRD peak list. Radiation: CuKα. Structure: a cell relaxed with PBE.
Neutral-atom scattering factors, no anomalous dispersion.

Atomic structure:
```
La4B2Cl5
1.0
-2.0588 4.0053 9.1278
2.0588 -4.0053 9.1278
2.0588 4.0053 -9.1278
La B Cl
4 2 5
direct
0.1772 0.1772 0.0000
0.2145 0.5000 0.7145
0.7855 0.5000 0.2855
0.8228 0.8228 0.0000
0.0437 0.0437 0.0000
0.9563 0.9563 0.0000
0.0882 0.3298 0.7584
0.4285 0.6702 0.7584
0.5000 0.0000 0.5000
0.5715 0.3298 0.2416
0.9118 0.6702 0.2416
```

The 10 most intense peaks (2θ from 10° to 80°), most intense first:
d (Å)	2θ/deg	Rel. int.
2.836	31.54	100
3.404	26.18	83
2.257	39.95	72
3.043	29.35	63
7.335	12.07	51
3.666	24.28	48
4.846	18.31	40
2.445	36.76	32
1.436	64.92	29
2.059	43.98	22

This entry pairs a crystal structure of La12CeSm7 with its simulated XRD peak list. Radiation: CuKα. Structure: a cell relaxed with PBE.
Neutral-atom scattering factors, no anomalous dispersion.

Atomic structure:
```
La12CeSm7
1.0
9.8254 5.6727 2.1409
-9.8254 5.6727 2.1409
0.0000 -11.3453 2.1409
La Ce Sm
12 1 7
direct
0.0008 0.4068 0.5939
0.0630 0.0635 0.4196
0.0635 0.4196 0.0630
0.4061 0.9992 0.5932
0.4068 0.5939 0.0008
0.4196 0.0630 0.0635
0.5804 0.9370 0.9365
0.5932 0.4061 0.9992
0.5939 0.0008 0.4068
0.9365 0.5804 0.9370
0.9370 0.9365 0.5804
0.9992 0.5932 0.4061
0.5000 0.5000 0.5000
0.0000 0.0000 0.0000
0.1419 0.3892 0.3885
0.3885 0.1419 0.3892
0.3892 0.3885 0.1419
0.6108 0.6115 0.8581
0.6115 0.8581 0.6108
0.8581 0.6108 0.6115
```

The 10 most intense peaks (2θ from 10° to 80°), most intense first:
d (Å)	2θ/deg	Rel. int.
3.006	29.72	100
3.275	27.23	33
2.760	32.44	26
2.725	32.87	26
2.336	38.54	23
2.655	33.76	21
1.965	46.20	20
1.938	46.87	20
2.274	39.64	18
1.579	58.45	17

This entry pairs a crystal structure of NdThS3 with its simulated XRD peak list. Radiation: CuKα. Structure: a cell relaxed with PBE.
Neutral-atom scattering factors, no anomalous dispersion.

Atomic structure:
```
NdThS3
1.0
7.6168 0.0000 0.0000
0.0000 4.0153 0.0000
0.0000 0.0000 15.5561
Nd Th S
4 4 12
direct
0.1008 0.2500 0.2090
0.3992 0.7500 0.7090
0.6008 0.2500 0.2910
0.8992 0.7500 0.7910
0.2486 0.7500 0.4583
0.2514 0.2500 0.9583
0.7486 0.7500 0.0417
0.7514 0.2500 0.5417
0.0121 0.2500 0.3998
0.1285 0.7500 0.0721
0.1721 0.2500 0.7794
0.3279 0.7500 0.2794
0.3715 0.2500 0.5721
0.4879 0.7500 0.8998
0.5121 0.2500 0.1002
0.6285 0.7500 0.4279
0.6721 0.2500 0.7206
0.8279 0.7500 0.2206
0.8715 0.2500 0.9279
0.9879 0.7500 0.6002
```

The 10 most intense peaks (2θ from 10° to 80°), most intense first:
d (Å)	2θ/deg	Rel. int.
3.463	25.72	100
3.175	28.11	30
3.420	26.05	28
2.721	32.92	20
2.458	36.56	20
2.066	43.82	20
1.983	45.76	19
2.604	34.44	19
1.346	69.88	18
2.126	42.53	17